# Na2AgSb
Theoretical X-ray powder pattern, copper Kα. Input: a GGA-PBE-relaxed structure.
Neutral-atom scattering factors, no anomalous dispersion.

Cell: 5.7787 9.2156 7.8097 Å, 90.00 90.00 90.00°
Space group Amm2 (No. 38)
Inequivalent atoms, fractional coordinates:
Na 0.0000 0.1783 0.0000
Na 0.5000 0.1788 0.6898
Ag 0.2507 0.0000 0.3435
Sb 0.0000 0.0000 0.6391
Sb 0.5000 0.0000 0.0473

Most intense lines, 2θ = 5–70°, in order of rising 2θ:
- hkl 0 1 1, 2θ = 14.87°, rel. 38
- hkl 0 2 0, 2θ = 19.26°, rel. 100
- hkl 1 1 1, 2θ = 21.42°, rel. 73
- hkl 0 3 1, 2θ = 31.29°, rel. 16
- hkl 1 2 2, 2θ = 33.85°, rel. 21
- hkl 2 1 1, 2θ = 34.50°, rel. 57
- hkl 1 3 1, 2θ = 35.02°, rel. 52
- hkl 0 1 3, 2θ = 35.84°, rel. 51
- hkl 2 0 2, 2θ = 38.77°, rel. 44
- hkl 0 4 0, 2θ = 39.13°, rel. 30
- hkl 2 2 2, 2θ = 43.64°, rel. 47
- hkl 2 4 2, 2θ = 56.24°, rel. 25

---

# NaAg3SnSe4
Theoretical X-ray powder pattern, copper Kα. Input: a GGA-PBE-relaxed structure.
Neutral-atom scattering factors, no anomalous dispersion.

Cell: 6.3031 8.0762 9.8382 Å, 90.00 99.97 90.00°
Space group P2_1/m (No. 11)
Inequivalent atoms, fractional coordinates:
Na 0.2140 0.2500 0.0955
Ag 0.2203 0.0591 0.5335
Ag 0.2939 0.2500 0.7913
Sn 0.2331 0.7500 0.2624
Se 0.0087 0.5099 0.7400
Se 0.3566 0.7500 0.0307
Se 0.4552 0.7500 0.5124

Most intense lines, 2θ = 5–70°, in order of rising 2θ:
- hkl 0 0 1, 2θ = 9.13°, rel. 86
- hkl 0 1 1, 2θ = 14.28°, rel. 100
- hkl 0 2 1, 2θ = 23.87°, rel. 25
- hkl 1 0 2, 2θ = 25.20°, rel. 21
- hkl 1 2 0, 2θ = 26.33°, rel. 47
- hkl 1 3 0, 2θ = 36.38°, rel. 18
- hkl 0 0 4, 2θ = 37.11°, rel. 30
- hkl 2 2 -2, 2θ = 38.70°, rel. 46
- hkl 2 2 1, 2θ = 38.98°, rel. 20
- hkl 2 2 2, 2θ = 43.47°, rel. 36
- hkl 0 3 3, 2θ = 43.78°, rel. 18
- hkl 2 3 -3, 2θ = 50.21°, rel. 23

---

# NaAgSnTeSe2
Theoretical X-ray powder pattern, copper Kα. Input: a GGA-PBE-relaxed structure.
Neutral-atom scattering factors, no anomalous dispersion.

Cell: 3.8585 14.2845 11.5192 Å, 90.00 90.00 90.00°
Space group Cmcm (No. 63)
Inequivalent atoms, fractional coordinates:
Na 0.0000 0.2367 0.2500
Ag 0.0000 0.4342 0.7500
Sn 0.0000 0.0000 0.0000
Te 0.0000 0.0818 0.7500
Se 0.0000 0.3629 0.5436

Most intense lines, 2θ = 5–70°, in order of rising 2θ:
- hkl 0 2 0, 2θ = 12.39°, rel. 100
- hkl 1 1 1, 2θ = 25.13°, rel. 23
- hkl 1 3 0, 2θ = 29.80°, rel. 27
- hkl 1 3 1, 2θ = 30.82°, rel. 81
- hkl 0 0 4, 2θ = 31.05°, rel. 53
- hkl 0 2 4, 2θ = 33.55°, rel. 21
- hkl 1 3 2, 2θ = 33.71°, rel. 63
- hkl 1 3 3, 2θ = 38.08°, rel. 22
- hkl 0 6 2, 2θ = 41.02°, rel. 41
- hkl 2 0 0, 2θ = 47.11°, rel. 23
- hkl 1 3 5, 2θ = 49.93°, rel. 30
- hkl 2 6 2, 2θ = 64.21°, rel. 22

---

# Na2Ta2Ag
Theoretical X-ray powder pattern, copper Kα. Input: a GGA-PBE-relaxed structure.
Neutral-atom scattering factors, no anomalous dispersion.

Cell: 5.2111 14.7067 5.1464 Å, 90.00 90.00 90.00°
Space group Iba2 (No. 45)
Inequivalent atoms, fractional coordinates:
Na 0.0862 0.0919 0.0000
Ta 0.0877 0.2916 0.0019
Ag 0.0000 0.5000 0.2503

Most intense lines, 2θ = 5–70°, in order of rising 2θ:
- hkl 0 2 0, 2θ = 12.04°, rel. 94
- hkl 1 1 0, 2θ = 18.06°, rel. 63
- hkl 0 4 0, 2θ = 24.21°, rel. 43
- hkl 2 0 0, 2θ = 34.42°, rel. 23
- hkl 1 4 1, 2θ = 34.57°, rel. 34
- hkl 1 5 0, 2θ = 35.03°, rel. 100
- hkl 0 2 2, 2θ = 37.01°, rel. 70
- hkl 2 1 1, 2θ = 39.24°, rel. 81
- hkl 1 3 2, 2θ = 43.34°, rel. 57
- hkl 2 2 2, 2θ = 51.44°, rel. 24
- hkl 1 7 2, 2θ = 59.51°, rel. 31
- hkl 3 4 1, 2θ = 61.75°, rel. 23

---

# NaTbAg3Te4
Theoretical X-ray powder pattern, copper Kα. Input: a GGA-PBE-relaxed structure.
Neutral-atom scattering factors, no anomalous dispersion.

Cell: 6.4260 8.4413 10.5347 Å, 90.00 105.46 90.00°
Space group P2_1/m (No. 11)
Inequivalent atoms, fractional coordinates:
Na 0.2220 0.2500 0.4209
Tb 0.2760 0.7500 0.1934
Ag 0.1856 0.2500 0.7293
Ag 0.2652 0.0605 0.9762
Te 0.0022 0.2500 0.0887
Te 0.1991 0.7500 0.4586
Te 0.4285 0.5263 0.7630

Most intense lines, 2θ = 5–70°, in order of rising 2θ:
- hkl 0 0 1, 2θ = 8.71°, rel. 100
- hkl 0 1 1, 2θ = 13.64°, rel. 43
- hkl 1 2 0, 2θ = 25.53°, rel. 64
- hkl 1 2 -1, 2θ = 25.73°, rel. 25
- hkl 2 1 -2, 2θ = 31.40°, rel. 29
- hkl 2 1 1, 2θ = 34.14°, rel. 22
- hkl 1 0 -4, 2θ = 34.43°, rel. 31
- hkl 1 1 3, 2θ = 35.07°, rel. 44
- hkl 1 3 -2, 2θ = 37.54°, rel. 25
- hkl 2 2 1, 2θ = 38.96°, rel. 37
- hkl 2 2 -3, 2θ = 40.00°, rel. 40
- hkl 2 2 2, 2θ = 43.70°, rel. 22

---

# Na6TlAg
Theoretical X-ray powder pattern, copper Kα. Input: a GGA-PBE-relaxed structure.
Neutral-atom scattering factors, no anomalous dispersion.

Cell: 5.2542 5.2542 7.3046 Å, 90.00 90.00 90.00°
Space group P4/mmm (No. 123)
Inequivalent atoms, fractional coordinates:
Na 0.0000 0.0000 0.0000
Na 0.0000 0.5000 0.2425
Na 0.5000 0.5000 0.5000
Tl 0.0000 0.0000 0.5000
Ag 0.5000 0.5000 0.0000

Most intense lines, 2θ = 5–70°, in order of rising 2θ:
- hkl 1 0 1, 2θ = 20.83°, rel. 100
- hkl 1 1 0, 2θ = 23.95°, rel. 36
- hkl 0 0 2, 2θ = 24.37°, rel. 17
- hkl 2 0 0, 2θ = 34.13°, rel. 45
- hkl 1 1 2, 2θ = 34.43°, rel. 87
- hkl 2 1 1, 2θ = 40.32°, rel. 37
- hkl 1 0 3, 2θ = 40.85°, rel. 18
- hkl 2 0 2, 2θ = 42.38°, rel. 16
- hkl 2 2 0, 2θ = 49.04°, rel. 16
- hkl 2 1 3, 2θ = 54.25°, rel. 16
- hkl 3 1 2, 2θ = 61.29°, rel. 31
- hkl 2 0 4, 2θ = 61.88°, rel. 15